This entry pairs a crystal structure of BaEu2PtO5 with its simulated powder X-ray diffraction pattern. Radiation: copper Kα. Structure: a structure optimized by DFT (PBE).

Unit cell a=6.8056 b=6.8056 c=5.9611 alpha=90.00 beta=90.00 gamma=90.00
Fractional positions:
Ba1 0.0000 0.0000 0.0000
Ba2 0.5000 0.5000 0.0000
Eu1 0.1775 0.3225 0.5000
Eu2 0.3225 0.8225 0.5000
Eu3 0.6775 0.1775 0.5000
Eu4 0.8225 0.6775 0.5000
Pt1 0.0000 0.5000 0.0000
Pt2 0.5000 0.0000 0.0000
O1 0.0000 0.0000 0.5000
O2 0.1408 0.6408 0.2459
O3 0.1408 0.6408 0.7541
O4 0.3592 0.1408 0.2459
O5 0.3592 0.1408 0.7541
O6 0.5000 0.5000 0.5000
O7 0.6408 0.8592 0.2459
O8 0.6408 0.8592 0.7541
O9 0.8592 0.3592 0.2459
O10 0.8592 0.3592 0.7541

The 12 most intense peaks (5 to 70 degrees two-theta), by angle:
2θ (°)	I (rel.)
18.44	11
29.35	12
29.98	35
30.24	100
33.05	31
37.37	24
42.45	23
44.77	12
48.63	22
53.39	21
56.23	11
69.33	11



This entry pairs a crystal structure of Ca5Ni15B4 with its simulated powder X-ray diffraction pattern. Radiation: copper Kα. Structure: a structure optimized by DFT (PBE).

Unit cell a=5.0933 b=5.0933 c=27.9209 alpha=90.00 beta=90.00 gamma=120.00
Fractional positions:
Ca1 0.3333 0.6667 0.0185
Ca2 0.3333 0.6667 0.1313
Ca3 0.3333 0.6667 0.2500
Ca4 0.3333 0.6667 0.3687
Ca5 0.3333 0.6667 0.4815
Ca6 0.6667 0.3333 0.5185
Ca7 0.6667 0.3333 0.6313
Ca8 0.6667 0.3333 0.7500
Ca9 0.6667 0.3333 0.8687
Ca10 0.6667 0.3333 0.9815
Ni1 0.0000 0.0000 0.0000
Ni2 0.0000 0.0000 0.2500
Ni3 0.0000 0.0000 0.5000
Ni4 0.0000 0.0000 0.7500
Ni5 0.1643 0.3286 0.5779
Ni6 0.1643 0.3286 0.9221
Ni7 0.1643 0.8357 0.5779
Ni8 0.1643 0.8357 0.9221
Ni9 0.1673 0.3347 0.6775
Ni10 0.1673 0.3347 0.8225
Ni11 0.1673 0.8327 0.6775
Ni12 0.1673 0.8327 0.8225
Ni13 0.3286 0.1643 0.0779
Ni14 0.3286 0.1643 0.4221
Ni15 0.3333 0.6667 0.7500
Ni16 0.3347 0.1673 0.1775
Ni17 0.3347 0.1673 0.3225
Ni18 0.6653 0.8327 0.6775
Ni19 0.6653 0.8327 0.8225
Ni20 0.6667 0.3333 0.2500
Ni21 0.6714 0.8357 0.5779
Ni22 0.6714 0.8357 0.9221
Ni23 0.8327 0.1673 0.1775
Ni24 0.8327 0.1673 0.3225
Ni25 0.8327 0.6653 0.1775
Ni26 0.8327 0.6653 0.3225
Ni27 0.8357 0.1643 0.0779
Ni28 0.8357 0.1643 0.4221
Ni29 0.8357 0.6714 0.0779
Ni30 0.8357 0.6714 0.4221
B1 0.0000 0.0000 0.1283
B2 0.0000 0.0000 0.3717
B3 0.0000 0.0000 0.6283
B4 0.0000 0.0000 0.8717
B5 0.3333 0.6667 0.6268
B6 0.3333 0.6667 0.8732
B7 0.6667 0.3333 0.1268
B8 0.6667 0.3333 0.3732

The 12 most intense peaks (5 to 70 degrees two-theta), by angle:
2θ (°)	I (rel.)
20.38	28
35.37	34
37.60	31
38.70	36
40.92	23
41.05	90
42.11	34
44.01	100
47.08	20
48.85	20
50.79	28
69.35	25



This entry pairs a crystal structure of InSn5 with its simulated powder X-ray diffraction pattern. Radiation: copper Kα. Structure: a structure optimized by DFT (PBE).

Unit cell a=3.3800 b=6.8432 c=7.5271 alpha=100.80 beta=101.44 gamma=96.50
Fractional positions:
In1 0.0000 0.0000 0.0000
Sn1 0.0011 0.5005 0.0005
Sn2 0.3325 0.1678 0.6668
Sn3 0.3375 0.6655 0.6649
Sn4 0.6644 0.3321 0.3350
Sn5 0.6752 0.8307 0.3341

The 12 most intense peaks (5 to 70 degrees two-theta), by angle:
2θ (°)	I (rel.)
32.02	35
32.52	100
35.38	27
37.45	23
39.81	19
52.20	9
52.74	9
53.95	8
54.66	8
55.45	7
67.68	8
68.05	12



This entry pairs a crystal structure of CePa3Sb4 with its simulated powder X-ray diffraction pattern. Radiation: copper Kα. Structure: a structure optimized by DFT (PBE).

Unit cell a=7.6072 b=8.7869 c=7.5942 alpha=90.00 beta=109.52 gamma=90.00
Fractional positions:
Ce1 0.0000 0.1249 0.2500
Ce2 0.0000 0.8751 0.7500
Pa1 0.0000 0.3757 0.7500
Pa2 0.0000 0.6243 0.2500
Pa3 0.5000 0.1252 0.7500
Pa4 0.5000 0.3756 0.2500
Pa5 0.5000 0.6244 0.7500
Pa6 0.5000 0.8748 0.2500
Sb1 0.2517 0.3763 0.5017
Sb2 0.2517 0.6237 0.0017
Sb3 0.2541 0.1272 0.0001
Sb4 0.2541 0.8728 0.5001
Sb5 0.7459 0.1272 0.4999
Sb6 0.7459 0.8728 0.9999
Sb7 0.7483 0.3763 0.9983
Sb8 0.7483 0.6237 0.4983

The 12 most intense peaks (5 to 70 degrees two-theta), by angle:
2θ (°)	I (rel.)
12.34	1
15.96	1
24.84	12
28.76	100
41.13	77
48.65	7
50.93	21
51.04	7
59.57	13
65.52	2
67.46	30
67.53	6



This entry pairs a crystal structure of Ce2GaNi7 with its simulated powder X-ray diffraction pattern. Radiation: copper Kα. Structure: a structure optimized by DFT (PBE).

Unit cell a=3.7459 b=3.7459 c=10.8140 alpha=90.00 beta=90.00 gamma=90.00
Fractional positions:
Ce1 0.0000 0.5000 0.2304
Ce2 0.5000 0.0000 0.7696
Ga1 0.0000 0.0000 0.5000
Ni1 0.0000 0.0000 0.0000
Ni2 0.0000 0.5000 0.6427
Ni3 0.0000 0.5000 0.8588
Ni4 0.5000 0.0000 0.1412
Ni5 0.5000 0.0000 0.3573
Ni6 0.5000 0.5000 0.0000
Ni7 0.5000 0.5000 0.5000

The 12 most intense peaks (5 to 70 degrees two-theta), by angle:
2θ (°)	I (rel.)
25.16	4
33.14	8
33.84	14
34.53	52
37.82	100
41.18	4
48.09	9
48.61	75
60.10	6
60.99	19
62.31	7
69.54	4



This entry pairs a crystal structure of LuAl10Os2 with its simulated powder X-ray diffraction pattern. Radiation: copper Kα. Structure: a structure optimized by DFT (PBE).

Unit cell a=6.8365 b=6.8365 c=9.1263 alpha=90.00 beta=90.00 gamma=96.45
Fractional positions:
Lu1 0.1311 0.8689 0.7500
Lu2 0.8689 0.1311 0.2500
Al1 0.1483 0.4171 0.7500
Al2 0.1541 0.8459 0.1006
Al3 0.1541 0.8459 0.3994
Al4 0.2167 0.4803 0.2500
Al5 0.2229 0.2229 0.0000
Al6 0.2229 0.2229 0.5000
Al7 0.3764 0.6236 0.5462
Al8 0.3764 0.6236 0.9538
Al9 0.4171 0.1483 0.2500
Al10 0.4803 0.2167 0.7500
Al11 0.5197 0.7833 0.2500
Al12 0.5829 0.8517 0.7500
Al13 0.6236 0.3764 0.0462
Al14 0.6236 0.3764 0.4538
Al15 0.7771 0.7771 0.0000
Al16 0.7771 0.7771 0.5000
Al17 0.7833 0.5197 0.7500
Al18 0.8459 0.1541 0.6006
Al19 0.8459 0.1541 0.8994
Al20 0.8517 0.5829 0.2500
Os1 0.0000 0.5000 0.0000
Os2 0.0000 0.5000 0.5000
Os3 0.5000 0.0000 0.0000
Os4 0.5000 0.0000 0.5000

The 12 most intense peaks (5 to 70 degrees two-theta), by angle:
2θ (°)	I (rel.)
17.39	66
19.47	35
26.22	68
27.67	74
32.87	45
39.54	63
39.79	30
40.55	100
43.49	24
45.36	25
48.06	33
57.92	61



This entry pairs a crystal structure of Li2H3I6 with its simulated powder X-ray diffraction pattern. Radiation: copper Kα. Structure: a structure optimized by DFT (PBE).

Unit cell a=7.2431 b=7.2431 c=14.6237 alpha=100.69 beta=100.69 gamma=67.94
Fractional positions:
Li1 0.1787 0.7080 0.9989
Li2 0.2920 0.8213 0.5011
Li3 0.7080 0.1787 0.4989
Li4 0.8213 0.2920 0.0011
H1 0.1053 0.2367 0.7751
H2 0.2367 0.1053 0.2751
H3 0.4596 0.5404 0.7500
H4 0.5404 0.4596 0.2500
H5 0.7633 0.8947 0.7249
H6 0.8947 0.7633 0.2249
I1 0.0681 0.1659 0.6194
I2 0.1659 0.0681 0.1194
I3 0.1702 0.2613 0.8960
I4 0.2613 0.1702 0.3960
I5 0.4033 0.4898 0.6157
I6 0.4898 0.4033 0.1157
I7 0.5102 0.5967 0.8843
I8 0.5967 0.5102 0.3843
I9 0.7387 0.8298 0.6040
I10 0.8298 0.7387 0.1040
I11 0.8341 0.9319 0.8806
I12 0.9319 0.8341 0.3806

The 12 most intense peaks (5 to 70 degrees two-theta), by angle:
2θ (°)	I (rel.)
21.96	100
22.84	34
24.99	90
25.33	66
25.90	93
28.98	30
30.54	91
31.96	61
33.51	63
40.32	35
45.31	46
50.52	26



This entry pairs a crystal structure of PmNdHoCu with its simulated powder X-ray diffraction pattern. Radiation: copper Kα. Structure: a structure optimized by DFT (PBE).

Unit cell a=3.5639 b=3.5639 c=8.7415 alpha=90.00 beta=90.00 gamma=90.00
Fractional positions:
Pm1 0.0000 0.0000 0.0000
Nd1 0.5000 0.5000 0.3097
Ho1 0.0000 0.0000 0.6122
Cu1 0.5000 0.5000 0.7893

The 12 most intense peaks (5 to 70 degrees two-theta), by angle:
2θ (°)	I (rel.)
27.02	26
30.68	17
32.41	100
35.63	53
39.97	11
47.71	21
51.27	19
55.67	7
58.85	20
60.94	10
61.97	31
66.92	5



This entry pairs a crystal structure of Rb4Pt with its simulated powder X-ray diffraction pattern. Radiation: copper Kα. Structure: a structure optimized by DFT (PBE).

Unit cell a=8.6957 b=8.6957 c=8.2910 alpha=90.00 beta=90.00 gamma=90.00
Fractional positions:
Rb1 0.1588 0.2707 0.0000
Rb2 0.1588 0.7293 0.5000
Rb3 0.2707 0.1588 0.5000
Rb4 0.2707 0.8412 0.0000
Rb5 0.7293 0.1588 0.0000
Rb6 0.7293 0.8412 0.5000
Rb7 0.8412 0.2707 0.5000
Rb8 0.8412 0.7293 0.0000
Pt1 0.0000 0.0000 0.2500
Pt2 0.0000 0.0000 0.7500

The 12 most intense peaks (5 to 70 degrees two-theta), by angle:
2θ (°)	I (rel.)
10.17	100
14.41	19
25.30	28
25.92	16
29.04	14
29.78	46
31.54	31
32.56	12
34.36	9
37.28	15
37.87	11
57.46	14



This entry pairs a crystal structure of Ba3Li3Ag2 with its simulated powder X-ray diffraction pattern. Radiation: copper Kα. Structure: a structure optimized by DFT (PBE).

Unit cell a=6.6499 b=6.6499 c=18.2702 alpha=90.00 beta=90.00 gamma=138.14
Fractional positions:
Ba1 0.0601 0.9399 0.6064
Ba2 0.0601 0.9399 0.8936
Ba3 0.3500 0.6500 0.7500
Ba4 0.6500 0.3500 0.2500
Ba5 0.9399 0.0601 0.1064
Ba6 0.9399 0.0601 0.3936
Li1 0.3261 0.6739 0.5320
Li2 0.3261 0.6739 0.9680
Li3 0.3477 0.6523 0.2500
Li4 0.6523 0.3477 0.7500
Li5 0.6739 0.3261 0.0320
Li6 0.6739 0.3261 0.4680
Ag1 0.2274 0.7726 0.1116
Ag2 0.2274 0.7726 0.3884
Ag3 0.7726 0.2274 0.6116
Ag4 0.7726 0.2274 0.8884

The 12 most intense peaks (5 to 70 degrees two-theta), by angle:
2θ (°)	I (rel.)
19.43	51
20.01	38
20.42	49
22.27	31
24.82	50
28.03	100
29.02	85
29.17	41
29.33	34
32.22	79
37.87	44
45.29	55



This entry pairs a crystal structure of Cs2SnI3Cl with its simulated powder X-ray diffraction pattern. Radiation: copper Kα. Structure: a structure optimized by DFT (PBE).

Unit cell a=5.6317 b=6.2456 c=19.7440 alpha=90.00 beta=90.00 gamma=90.00
Fractional positions:
Cs1 0.0000 0.0000 0.1405
Cs2 0.0000 0.0000 0.8595
Cs3 0.5000 0.5000 0.3595
Cs4 0.5000 0.5000 0.6405
Sn1 0.0000 0.0000 0.5000
Sn2 0.5000 0.5000 0.0000
I1 0.0000 0.0000 0.3372
I2 0.0000 0.0000 0.6628
I3 0.0000 0.5000 0.5000
I4 0.5000 0.0000 0.0000
I5 0.5000 0.5000 0.1628
I6 0.5000 0.5000 0.8372
Cl1 0.0000 0.5000 0.0000
Cl2 0.5000 0.0000 0.5000

The 12 most intense peaks (5 to 70 degrees two-theta), by angle:
2θ (°)	I (rel.)
21.24	100
23.10	33
27.10	57
27.59	35
27.96	85
28.58	69
31.78	52
34.69	32
39.79	40
42.24	34
43.26	44
51.80	37



This entry pairs a crystal structure of NbRuW with its simulated powder X-ray diffraction pattern. Radiation: copper Kα. Structure: a structure optimized by DFT (PBE).

Unit cell a=3.1717 b=5.2487 c=6.5011 alpha=71.55 beta=89.95 gamma=72.42
Fractional positions:
Nb1 0.0118 0.4763 0.2564
Nb2 0.9882 0.5237 0.7436
Ru1 0.3397 0.8219 0.3971
Ru2 0.6603 0.1781 0.6029
W1 0.3292 0.8423 0.9172
W2 0.6708 0.1577 0.0828

The 12 most intense peaks (5 to 70 degrees two-theta), by angle:
2θ (°)	I (rel.)
14.44	13
18.80	4
27.40	5
31.73	3
39.55	6
39.71	100
40.03	33
40.38	65
48.27	2
56.63	12
58.17	11
58.68	10